[1]
The following is a calculated powder X-ray diffraction pattern of TcP4W2. It was derived from a DFT-relaxed cell (GGA-PBE, OQMD), using λ = 1.5418 Å (Cu Kα).
Neutral-atom scattering factors, no anomalous dispersion.

The 8 most intense peaks (2θ from 5° to 70°), by intensity:
2θ (°)	I_rel	h k l
26.0	100.0	2 0 0
36.5	86.9	1 1 2
18.3	61.7	1 1 0
53.0	52.9	3 1 2
33.1	23.2	2 1 1
49.3	23.1	2 2 2
37.0	21.8	2 2 0
53.4	21.0	4 0 0

Cell and atoms:
```
data_TcP4W2
_chemical_formula_sum 'Tc2 P8 W4'
_space_group_name_H-M_alt 'I 4/m m m'
_space_group_IT_number 139
_space_group_name_Hall '-I 4 2'
_cell_length_a 6.8669
_cell_length_b 6.8669
_cell_length_c 5.7087
_cell_angle_alpha 90.00
_cell_angle_beta 90.00
_cell_angle_gamma 90.00
loop_
_atom_site_label
_atom_site_type_symbol
_atom_site_fract_x
_atom_site_fract_y
_atom_site_fract_z
_atom_site_occupancy
Tc1 Tc 0.0000 0.0000 0.0000 1
P1 P 0.0000 0.2299 0.5000 1
W1 W 0.0000 0.5000 0.2500 1
```

=====

[2]
The following is a calculated powder X-ray diffraction pattern of Zn4Ir3. It was derived from a DFT-relaxed cell (GGA-PBE, OQMD), using λ = 1.5418 Å (Cu Kα).
Neutral-atom scattering factors, no anomalous dispersion.

The 8 most intense peaks (2θ from 5° to 70°), by intensity:
2θ (°)	I_rel	h k l
43.5	100.0	2 1 1
38.2	28.9	2 1 0
40.7	27.0	0 0 2
57.0	18.0	2 1 2
69.0	16.6	1 4 0
14.2	15.4	1 0 0
24.7	14.7	1 0 1
32.0	11.4	1 1 1

Cell and atoms:
```
data_Zn4Ir3
_chemical_formula_sum 'Zn8 Ir6'
_space_group_name_H-M_alt 'P 63/m'
_space_group_IT_number 176
_space_group_name_Hall '-P 6c'
_cell_length_a 7.1993
_cell_length_b 7.1993
_cell_length_c 4.4328
_cell_angle_alpha 90.00
_cell_angle_beta 90.00
_cell_angle_gamma 120.00
loop_
_atom_site_label
_atom_site_type_symbol
_atom_site_fract_x
_atom_site_fract_y
_atom_site_fract_z
_atom_site_occupancy
Zn1 Zn 0.0437 0.2428 0.2500 1
Zn2 Zn 0.3333 0.6667 0.2500 1
Ir1 Ir 0.0930 0.4695 0.7500 1
```

=====

[3]
The following is a calculated powder X-ray diffraction pattern of Ho2Sc2CI2Cl3. It was derived from a DFT-relaxed cell (GGA-PBE, OQMD), using λ = 1.5418 Å (Cu Kα).
Neutral-atom scattering factors, no anomalous dispersion.

The 8 most intense peaks (2θ from 5° to 70°), by intensity:
2θ (°)	I_rel	h k l
33.5	100.0	1 1 -2
9.3	92.0	2 0 0
24.5	49.7	1 1 0
11.6	48.8	0 0 1
28.2	48.2	6 0 0
44.7	31.4	7 1 -2
33.8	29.7	5 1 0
23.3	28.1	0 0 2

Cell and atoms:
```
data_Ho2Sc2CI2Cl3
_chemical_formula_sum 'Ho4 Sc4 C2 I4 Cl6'
_space_group_name_H-M_alt 'C 1 2/m 1'
_space_group_IT_number 12
_space_group_name_Hall '-C 2y'
_cell_length_a 19.3009
_cell_length_b 3.7085
_cell_length_c 7.7452
_cell_angle_alpha 90.00
_cell_angle_beta 100.10
_cell_angle_gamma 90.00
loop_
_atom_site_label
_atom_site_type_symbol
_atom_site_fract_x
_atom_site_fract_y
_atom_site_fract_z
_atom_site_occupancy
Ho1 Ho 0.0028 0.0000 0.2911 1
Sc1 Sc 0.1170 0.5000 0.5674 1
C1 C 0.0000 0.5000 0.5000 1
I1 I 0.1651 0.0000 0.3222 1
Cl1 Cl 0.0000 0.5000 0.0000 1
Cl2 Cl 0.1402 0.0000 0.8058 1
```

=====

[4]
The following is a calculated powder X-ray diffraction pattern of UNbGe. It was derived from a DFT-relaxed cell (GGA-PBE, OQMD), using λ = 1.5418 Å (Cu Kα).
Neutral-atom scattering factors, no anomalous dispersion.

The 8 most intense peaks (2θ from 5° to 70°), by intensity:
2θ (°)	I_rel	h k l
39.8	100.0	2 2 0
24.1	49.1	1 1 1
27.8	34.1	2 0 0
47.0	25.6	3 1 1
57.5	17.1	4 0 0
65.1	13.6	4 2 0
63.2	11.0	3 3 1
49.3	10.0	2 2 2

Cell and atoms:
```
data_UNbGe
_chemical_formula_sum 'U4 Nb4 Ge4'
_space_group_name_H-M_alt 'F -4 3 m'
_space_group_IT_number 216
_space_group_name_Hall 'F -4 2 3'
_cell_length_a 6.4087
_cell_length_b 6.4087
_cell_length_c 6.4087
_cell_angle_alpha 90.00
_cell_angle_beta 90.00
_cell_angle_gamma 90.00
loop_
_atom_site_label
_atom_site_type_symbol
_atom_site_fract_x
_atom_site_fract_y
_atom_site_fract_z
_atom_site_occupancy
U1 U 0.0000 0.0000 0.0000 1
Nb1 Nb 0.2500 0.2500 0.7500 1
Ge1 Ge 0.0000 0.0000 0.5000 1
```

=====

[5]
The following is a calculated powder X-ray diffraction pattern of Zr4Zn3. It was derived from a DFT-relaxed cell (GGA-PBE, OQMD), using λ = 1.5418 Å (Cu Kα).
Neutral-atom scattering factors, no anomalous dispersion.

The 8 most intense peaks (2θ from 5° to 70°), by intensity:
2θ (°)	I_rel	h k l
38.6	100.0	2 1 1
33.0	25.0	2 1 0
39.3	23.7	0 0 2
59.0	13.1	1 4 0
52.2	13.1	2 1 2
31.7	5.8	2 0 1
29.0	3.9	1 1 1
37.6	3.6	3 0 0

Cell and atoms:
```
data_Zr4Zn3
_chemical_formula_sum 'Zr8 Zn6'
_space_group_name_H-M_alt 'P 63/m'
_space_group_IT_number 176
_space_group_name_Hall '-P 6c'
_cell_length_a 8.2887
_cell_length_b 8.2887
_cell_length_c 4.5873
_cell_angle_alpha 90.00
_cell_angle_beta 90.00
_cell_angle_gamma 120.00
loop_
_atom_site_label
_atom_site_type_symbol
_atom_site_fract_x
_atom_site_fract_y
_atom_site_fract_z
_atom_site_occupancy
Zr1 Zr 0.0046 0.2375 0.2500 1
Zr2 Zr 0.3333 0.6667 0.2500 1
Zn1 Zn 0.0746 0.4648 0.7500 1
```

=====

[6]
The following is a calculated powder X-ray diffraction pattern of Er2Mg3Hg3. It was derived from a DFT-relaxed cell (GGA-PBE, OQMD), using λ = 1.5418 Å (Cu Kα).
Neutral-atom scattering factors, no anomalous dispersion.

The 8 most intense peaks (2θ from 5° to 70°), by intensity:
2θ (°)	I_rel	h k l
36.3	100.0	2 0 1
31.1	41.5	2 0 0
18.3	28.9	0 0 1
49.1	23.9	2 0 2
37.0	19.5	0 0 2
68.5	19.3	2 2 2
55.4	18.2	2 2 0
66.2	17.6	2 0 3

Cell and atoms:
```
data_Er2Mg3Hg3
_chemical_formula_sum 'Er2 Mg3 Hg3'
_space_group_name_H-M_alt 'P -6 m 2'
_space_group_IT_number 187
_space_group_name_Hall 'P -6 2'
_cell_length_a 6.6330
_cell_length_b 6.6330
_cell_length_c 4.8588
_cell_angle_alpha 90.00
_cell_angle_beta 90.00
_cell_angle_gamma 120.00
loop_
_atom_site_label
_atom_site_type_symbol
_atom_site_fract_x
_atom_site_fract_y
_atom_site_fract_z
_atom_site_occupancy
Er1 Er 0.0000 0.0000 0.0000 1
Er2 Er 0.3333 0.6667 0.5000 1
Mg1 Mg 0.3487 0.1743 0.5000 1
Hg1 Hg 0.5036 0.0072 0.0000 1
```

=====

[7]
The following is a calculated powder X-ray diffraction pattern of Sb2PtAu. It was derived from a DFT-relaxed cell (GGA-PBE, OQMD), using λ = 1.5418 Å (Cu Kα).
Neutral-atom scattering factors, no anomalous dispersion.

The 6 most intense peaks (2θ from 5° to 70°), by intensity:
2θ (°)	I_rel	h k l
36.5	100.0	2 2 0
65.6	36.1	4 2 2
52.5	17.6	4 0 0
22.1	6.1	1 1 1
43.0	3.6	3 1 1
57.6	1.6	3 3 1

Cell and atoms:
```
data_Sb2PtAu
_chemical_formula_sum 'Sb8 Pt4 Au4'
_space_group_name_H-M_alt 'F -4 3 m'
_space_group_IT_number 216
_space_group_name_Hall 'F -4 2 3'
_cell_length_a 6.9719
_cell_length_b 6.9719
_cell_length_c 6.9719
_cell_angle_alpha 90.00
_cell_angle_beta 90.00
_cell_angle_gamma 90.00
loop_
_atom_site_label
_atom_site_type_symbol
_atom_site_fract_x
_atom_site_fract_y
_atom_site_fract_z
_atom_site_occupancy
Sb1 Sb 0.0000 0.0000 0.0000 1
Sb2 Sb 0.2500 0.2500 0.2500 1
Pt1 Pt 0.0000 0.0000 0.5000 1
Au1 Au 0.2500 0.2500 0.7500 1
```

=====

[8]
The following is a calculated powder X-ray diffraction pattern of Ta2Al11. It was derived from a DFT-relaxed cell (GGA-PBE, OQMD), using λ = 1.5418 Å (Cu Kα).
Neutral-atom scattering factors, no anomalous dispersion.

The 8 most intense peaks (2θ from 5° to 70°), by intensity:
2θ (°)	I_rel	h k l
9.9	100.0	0 0 3
39.9	56.1	1 1 6
34.3	39.1	1 1 0
23.7	30.6	1 0 4
19.9	29.7	0 0 6
38.9	28.8	1 0 10
30.5	26.2	1 0 7
35.8	25.1	1 1 3

Cell and atoms:
```
data_Ta2Al11
_chemical_formula_sum 'Ta6 Al33'
_space_group_name_H-M_alt 'R -3 m'
_space_group_IT_number 166
_space_group_name_Hall '-R 3 2"'
_cell_length_a 5.2283
_cell_length_b 5.2283
_cell_length_c 26.9208
_cell_angle_alpha 90.00
_cell_angle_beta 90.00
_cell_angle_gamma 120.00
loop_
_atom_site_label
_atom_site_type_symbol
_atom_site_fract_x
_atom_site_fract_y
_atom_site_fract_z
_atom_site_occupancy
Ta1 Ta 0.0000 0.0000 0.1467 1
Al1 Al 0.0000 0.0000 0.0461 1
Al2 Al 0.0000 0.0000 0.3329 1
Al3 Al 0.0000 0.0000 0.5000 1
Al4 Al 0.0058 0.5029 0.9098 1
```

=====

[9]
The following is a calculated powder X-ray diffraction pattern of Cu2Ag7. It was derived from a DFT-relaxed cell (GGA-PBE, OQMD), using λ = 1.5418 Å (Cu Kα).
Neutral-atom scattering factors, no anomalous dispersion.

The 8 most intense peaks (2θ from 5° to 70°), by intensity:
2θ (°)	I_rel	h k l
38.3	100.0	3 1 -2
38.5	97.7	6 0 -1
44.3	65.0	3 1 1
65.3	37.8	9 1 -3
45.5	29.8	6 0 -4
64.1	10.2	0 2 0
64.6	9.7	6 0 2
25.7	1.8	4 0 -2

Cell and atoms:
```
data_Cu2Ag7
_chemical_formula_sum 'Cu4 Ag14'
_space_group_name_H-M_alt 'C 1 2/m 1'
_space_group_IT_number 12
_space_group_name_Hall '-C 2y'
_cell_length_a 14.7745
_cell_length_b 2.9052
_cell_length_c 8.4838
_cell_angle_alpha 90.00
_cell_angle_beta 124.28
_cell_angle_gamma 90.00
loop_
_atom_site_label
_atom_site_type_symbol
_atom_site_fract_x
_atom_site_fract_y
_atom_site_fract_z
_atom_site_occupancy
Cu1 Cu 0.0552 0.0000 0.3321 1
Ag1 Ag 0.0000 0.5000 0.0000 1
Ag2 Ag 0.1071 0.5000 0.6555 1
Ag3 Ag 0.1638 0.0000 0.9930 1
Ag4 Ag 0.2182 0.5000 0.3338 1
```

=====

[10]
The following is a calculated powder X-ray diffraction pattern of Li4HfGeO6. It was derived from a DFT-relaxed cell (GGA-PBE, OQMD), using λ = 1.5418 Å (Cu Kα).
Neutral-atom scattering factors, no anomalous dispersion.

The 8 most intense peaks (2θ from 5° to 70°), by intensity:
2θ (°)	I_rel	h k l
18.4	100.0	0 0 1
20.8	51.8	1 1 0
43.0	46.4	1 3 1
23.5	39.5	1 1 -1
35.3	34.7	1 3 0
19.8	29.0	0 2 0
27.2	27.6	0 2 1
37.0	25.2	2 0 0

Cell and atoms:
```
data_Li4HfGeO6
_chemical_formula_sum 'Li8 Hf2 Ge2 O12'
_space_group_name_H-M_alt 'C 1 2 1'
_space_group_IT_number 5
_space_group_name_Hall 'C 2y'
_cell_length_a 5.1507
_cell_length_b 8.9512
_cell_length_c 5.1108
_cell_angle_alpha 90.00
_cell_angle_beta 109.34
_cell_angle_gamma 90.00
loop_
_atom_site_label
_atom_site_type_symbol
_atom_site_fract_x
_atom_site_fract_y
_atom_site_fract_z
_atom_site_occupancy
Li1 Li 0.0000 0.0000 0.0000 1
Li2 Li 0.0000 0.1520 0.5000 1
Li3 Li 0.0000 0.5212 0.5000 1
Li4 Li 0.0000 0.8347 0.5000 1
Hf1 Hf 0.0000 0.3342 0.0000 1
Ge1 Ge 0.0000 0.6678 0.0000 1
O1 O 0.2227 0.5097 0.2340 1
O2 O 0.2329 0.6716 0.7727 1
O3 O 0.2379 0.8170 0.2322 1
```

=====

[11]
The following is a calculated powder X-ray diffraction pattern of TlCu5. It was derived from a DFT-relaxed cell (GGA-PBE, OQMD), using λ = 1.5418 Å (Cu Kα).
Neutral-atom scattering factors, no anomalous dispersion.

The 8 most intense peaks (2θ from 5° to 70°), by intensity:
2θ (°)	I_rel	h k l
42.0	100.0	0 3 1
38.4	88.8	2 1 1
38.0	82.1	0 1 4
52.4	62.1	2 1 4
41.0	47.8	0 3 0
28.4	40.8	0 2 1
24.6	39.6	1 0 2
46.3	38.0	2 1 3

Cell and atoms:
```
data_TlCu5
_chemical_formula_sum 'Tl4 Cu20'
_space_group_name_H-M_alt 'P m c 21'
_space_group_IT_number 26
_space_group_name_Hall 'P 2c -2'
_cell_length_a 5.1702
_cell_length_b 6.6098
_cell_length_c 10.1412
_cell_angle_alpha 90.00
_cell_angle_beta 90.00
_cell_angle_gamma 90.00
loop_
_atom_site_label
_atom_site_type_symbol
_atom_site_fract_x
_atom_site_fract_y
_atom_site_fract_z
_atom_site_occupancy
Tl1 Tl 0.0000 0.1264 0.0000 1
Tl2 Tl 0.5000 0.1278 0.7842 1
Cu1 Cu 0.0000 0.1450 0.7209 1
Cu2 Cu 0.0000 0.4868 0.8772 1
Cu3 Cu 0.0000 0.4932 0.1307 1
Cu4 Cu 0.2446 0.2332 0.2694 1
Cu5 Cu 0.2553 0.2343 0.5158 1
Cu6 Cu 0.5000 0.1437 0.0639 1
Cu7 Cu 0.5000 0.4875 0.9068 1
Cu8 Cu 0.5000 0.4954 0.6534 1
```

=====

[12]
The following is a calculated powder X-ray diffraction pattern of LaPrGa2Cl2. It was derived from a DFT-relaxed cell (GGA-PBE, OQMD), using λ = 1.5418 Å (Cu Kα).
Neutral-atom scattering factors, no anomalous dispersion.

The 8 most intense peaks (2θ from 5° to 70°), by intensity:
2θ (°)	I_rel	h k l
8.0	100.0	0 0 1
29.2	75.0	0 1 2
34.5	63.5	0 1 3
42.5	38.2	1 1 0
24.2	19.6	1 0 0
48.2	17.7	1 0 5
55.9	15.5	2 0 3
52.4	14.4	2 0 2

Cell and atoms:
```
data_LaPrGa2Cl2
_chemical_formula_sum 'La1 Pr1 Ga2 Cl2'
_space_group_name_H-M_alt 'P 3 m 1'
_space_group_IT_number 156
_space_group_name_Hall 'P 3 -2"'
_cell_length_a 4.2511
_cell_length_b 4.2511
_cell_length_c 10.9975
_cell_angle_alpha 90.00
_cell_angle_beta 90.00
_cell_angle_gamma 120.00
loop_
_atom_site_label
_atom_site_type_symbol
_atom_site_fract_x
_atom_site_fract_y
_atom_site_fract_z
_atom_site_occupancy
La1 La 0.0000 0.0000 0.0000 1
Pr1 Pr 0.0000 0.0000 0.3938 1
Ga1 Ga 0.3333 0.6667 0.1694 1
Ga2 Ga 0.6667 0.3333 0.2269 1
Cl1 Cl 0.3333 0.6667 0.5402 1
Cl2 Cl 0.6667 0.3333 0.8517 1
```

=====

[13]
The following is a calculated powder X-ray diffraction pattern of TmTl3Cl5. It was derived from a DFT-relaxed cell (GGA-PBE, OQMD), using λ = 1.5418 Å (Cu Kα).
Neutral-atom scattering factors, no anomalous dispersion.

The 8 most intense peaks (2θ from 5° to 70°), by intensity:
2θ (°)	I_rel	h k l
23.9	100.0	2 0 2
28.7	92.8	2 1 3
20.5	74.7	0 0 4
24.7	44.8	2 1 1
38.0	42.6	2 0 6
30.7	30.5	2 2 0
37.2	29.9	2 2 4
35.6	24.5	2 1 5

Cell and atoms:
```
data_TmTl3Cl5
_chemical_formula_sum 'Tm4 Tl12 Cl20'
_space_group_name_H-M_alt 'I 4/m c m'
_space_group_IT_number 140
_space_group_name_Hall '-I 4 2c'
_cell_length_a 8.2328
_cell_length_b 8.2328
_cell_length_c 17.3472
_cell_angle_alpha 90.00
_cell_angle_beta 90.00
_cell_angle_gamma 90.00
loop_
_atom_site_label
_atom_site_type_symbol
_atom_site_fract_x
_atom_site_fract_y
_atom_site_fract_z
_atom_site_occupancy
Tm1 Tm 0.0000 0.5000 0.2500 1
Tl1 Tl 0.0000 0.0000 0.2500 1
Tl2 Tl 0.1626 0.3374 0.0000 1
Cl1 Cl 0.0000 0.0000 0.0000 1
Cl2 Cl 0.1621 0.3379 0.3434 1
```

=====

[14]
The following is a calculated powder X-ray diffraction pattern of SrHfHg. It was derived from a DFT-relaxed cell (GGA-PBE, OQMD), using λ = 1.5418 Å (Cu Kα).
Neutral-atom scattering factors, no anomalous dispersion.

The 8 most intense peaks (2θ from 5° to 70°), by intensity:
2θ (°)	I_rel	h k l
6.6	100.0	0 0 1
32.3	46.4	1 0 3
37.0	44.7	1 0 4
35.7	35.7	1 1 0
65.0	17.6	2 1 4
62.0	14.5	2 1 3
51.4	12.7	2 0 0
61.1	10.9	1 1 7

Cell and atoms:
```
data_SrHfHg
_chemical_formula_sum 'Sr2 Hf2 Hg2'
_space_group_name_H-M_alt 'P 4/n m m'
_space_group_IT_number 129
_cell_length_a 3.5545
_cell_length_b 3.5545
_cell_length_c 13.2994
_cell_angle_alpha 90.00
_cell_angle_beta 90.00
_cell_angle_gamma 90.00
loop_
_space_group_symop_operation_xyz
'x,y,z'
'-x,-y,-z'
'-y+1/2,x,z'
'y+1/2,-x,-z'
'-x+1/2,-y+1/2,z'
'x+1/2,y+1/2,-z'
'y,-x+1/2,z'
'-y,x+1/2,-z'
'x+1/2,-y,-z'
'-x+1/2,y,z'
'-y,-x,-z'
'y,x,z'
'-x,y+1/2,-z'
'x,-y+1/2,z'
'y+1/2,x+1/2,-z'
'-y+1/2,-x+1/2,z'
loop_
_atom_site_label
_atom_site_type_symbol
_atom_site_fract_x
_atom_site_fract_y
_atom_site_fract_z
_atom_site_occupancy
Sr1 Sr 0.2500 0.2500 0.1323 1
Hf1 Hf 0.2500 0.2500 0.4323 1
Hg1 Hg 0.2500 0.2500 0.6963 1
```